Calculated X-ray powder pattern of NaCrCoOs2 for Cu Kα (weighted mean of Kα1 and Kα2), from a structure optimized by DFT (PBE).

Main lines, by intensity (2θ = 10–90°):
| index | d/Å | I/Imax |
| --- | --- | --- |
| 1 1 1 | 2.546 | 100 |
| 2 0 0 | 2.205 | 86 |
| 0 0 1 | 4.412 | 86 |
| 2 2 0 | 1.559 | 57 |
| 2 0 1 | 1.972 | 41 |
| 1 1 0 | 3.118 | 40 |
| 3 1 1 | 1.330 | 40 |
| 2 2 1 | 1.470 | 20 |

Cell and atoms:
Cell: 4.4090 4.4090 4.4119 Å, 90.00 90.00 90.00°
Space group P4/mmm (No. 123)
One atom of each set of equivalent atoms:
Na 0.0000 0.0000 0.0000 (multiplicity 1)
Cr 0.5000 0.5000 0.0000 (multiplicity 1)
Co 0.0000 0.0000 0.5000 (multiplicity 1)
Os 0.0000 0.5000 0.5000 (multiplicity 2)



Calculated X-ray powder pattern of Na3Cr3CoSe8 for Cu Kα (weighted mean of Kα1 and Kα2), from a structure optimized by DFT (PBE).

Main lines, by intensity (2θ = 10–90°):
| index | d/Å | I/Imax |
| --- | --- | --- |
| 4 0 0 | 2.716 | 100 |
| 0 0 1 | 7.063 | 66 |
| 0 4 0 | 1.827 | 34 |
| 4 0 1 | 2.187 | 27 |
| 4 0 -4 | 2.031 | 25 |
| 2 2 0 | 3.032 | 18 |
| 2 2 3 | 1.645 | 16 |
| 4 4 0 | 1.515 | 10 |

Cell and atoms:
Cell: 12.6678 7.2992 8.2345 Å, 90.00 120.94 90.00°
Space group C2/m (No. 12)
One atom of each set of equivalent atoms:
Na 0.0000 0.0000 0.0000 (multiplicity 2)
Na 0.2500 0.2500 0.0000 (multiplicity 4)
Cr 0.0000 0.5000 0.5000 (multiplicity 2)
Cr 0.2500 0.2500 0.5000 (multiplicity 4)
Co 0.0000 0.0000 0.5000 (multiplicity 2)
Se 0.0164 0.2406 0.3086 (multiplicity 8)
Se 0.2241 0.0000 0.6914 (multiplicity 4)
Se 0.2330 0.5000 0.6992 (multiplicity 4)



Calculated X-ray powder pattern of Cr2CoNi5 for Cu Kα (weighted mean of Kα1 and Kα2), from a structure optimized by DFT (PBE).

Main lines, by intensity (2θ = 10–90°):
| index | d/Å | I/Imax |
| --- | --- | --- |
| 2 4 0 | 2.042 | 100 |
| 0 4 1 | 2.034 | 99 |
| 2 0 1 | 1.756 | 60 |
| 2 8 1 | 1.251 | 35 |
| 0 8 0 | 1.782 | 32 |
| 4 0 0 | 1.246 | 9 |
| 0 0 2 | 1.238 | 9 |
| 1 2 0 | 4.084 | 1 |

Cell and atoms:
Cell: 4.9829 14.2563 2.4763 Å, 90.00 90.00 90.00°
Space group Pbam (No. 55)
One atom of each set of equivalent atoms:
Cr 0.2444 0.1237 0.0000 (multiplicity 4)
Co 0.0000 0.0000 0.5000 (multiplicity 2)
Ni 0.0000 0.5000 0.5000 (multiplicity 2)
Ni 0.0029 0.7498 0.5000 (multiplicity 4)
Ni 0.2487 0.3757 0.0000 (multiplicity 4)



Calculated X-ray powder pattern of CrCo3Ni6 for Cu Kα (weighted mean of Kα1 and Kα2), from a structure optimized by DFT (PBE).

Main lines, by intensity (2θ = 10–90°):
| index | d/Å | I/Imax |
| --- | --- | --- |
| 2 4 1 | 1.751 | 100 |
| 0 8 0 | 2.010 | 48 |
| 2 2 0 | 2.977 | 38 |
| 0 2 1 | 2.341 | 32 |
| 2 6 0 | 2.056 | 31 |
| 1 1 1 | 2.263 | 21 |
| 3 3 0 | 1.984 | 20 |
| 3 1 0 | 2.118 | 20 |

Cell and atoms:
Cell: 6.4086 16.0801 2.4469 Å, 90.00 90.00 90.00°
Space group Cmmm (No. 65)
One atom of each set of equivalent atoms:
Cr 0.0000 0.0000 0.0000 (multiplicity 2)
Co 0.0000 0.5000 0.0000 (multiplicity 2)
Co 0.2500 0.2500 0.5000 (multiplicity 4)
Ni 0.0000 0.1383 0.5000 (multiplicity 4)
Ni 0.1870 0.3788 0.0000 (multiplicity 8)



Calculated X-ray powder pattern of CrCo23Ni6 for Cu Kα (weighted mean of Kα1 and Kα2), from a structure optimized by DFT (PBE).

Main lines, by intensity (2θ = 10–90°):
| index | d/Å | I/Imax |
| --- | --- | --- |
| 4 4 0 | 1.972 | 100 |
| 3 3 3 | 2.147 | 26 |
| 8 4 4 | 1.139 | 19 |
| 5 3 1 | 1.886 | 10 |
| 4 2 0 | 2.495 | 9 |
| 8 0 0 | 1.395 | 8 |
| 9 3 1 | 1.169 | 8 |
| 6 2 0 | 1.764 | 7 |

Cell and atoms:
Cell: 11.1562 11.1562 11.1562 Å, 90.00 90.00 90.00°
Space group Fm-3m (No. 225)
One atom of each set of equivalent atoms:
Cr 0.0000 0.0000 0.0000 (multiplicity 4)
Co 0.0000 0.0000 0.5000 (multiplicity 4)
Co 0.0000 0.2500 0.2500 (multiplicity 24)
Co 0.1207 0.1207 0.3793 (multiplicity 32)
Co 0.1637 0.1637 0.1637 (multiplicity 32)
Ni 0.0000 0.0000 0.2303 (multiplicity 24)



Calculated X-ray powder pattern of Cr2Co2Ni5 for Cu Kα (weighted mean of Kα1 and Kα2), from a structure optimized by DFT (PBE).

Main lines, by intensity (2θ = 10–90°):
| index | d/Å | I/Imax |
| --- | --- | --- |
| 1 1 3 | 1.902 | 100 |
| 1 -1 2 | 1.962 | 85 |
| 1 0 -2 | 2.030 | 73 |
| 1 2 0 | 1.848 | 60 |
| 0 2 1 | 2.200 | 59 |
| 0 2 2 | 1.984 | 48 |
| 2 0 1 | 2.153 | 45 |
| 2 1 1 | 1.993 | 38 |

Cell and atoms:
Cell: 4.3522 4.4190 5.8625 Å, 71.27 74.62 86.83°
Space group P-1 (No. 2)
One atom of each set of equivalent atoms:
Cr 0.0076 0.2258 0.0040 (multiplicity 2)
Co 0.3133 0.6442 0.6470 (multiplicity 2)
Ni 0.1336 0.2181 0.5315 (multiplicity 2)
Ni 0.4410 0.9174 0.2226 (multiplicity 2)
Ni 0.5000 0.5000 0.0000 (multiplicity 1)